Starting from the PBE+U geometry in Alexandria, the XRD peak list of Ba2AlCr3O8 was calculated for CuKα.
No peak broadening, texture or thermal motion is included.

Lattice parameters (Å, degrees): 3.894 3.894 11.601 90.00 90.00 90.00
Element x y z (fractional)
Ba1 0.000 0.000 0.167
Ba2 0.000 0.000 0.833
Al1 0.000 0.000 0.500
Cr1 0.500 0.500 0.000
Cr2 0.500 0.500 0.351
Cr3 0.500 0.500 0.649
O1 0.000 0.500 0.000
O2 0.000 0.500 0.392
O3 0.000 0.500 0.608
O4 0.500 0.000 0.000
O5 0.500 0.000 0.392
O6 0.500 0.000 0.608
O7 0.500 0.500 0.186
O8 0.500 0.500 0.814

Top 10 peaks for 5 to 70 degrees two-theta, in order of rising 2θ:
| hkl | Position (°2θ) | d/Å | I (rel.) |
| --- | --- | --- | --- |
| 0 0 1 | 7.62 | 11.601 | 29.2 |
| 1 0 1 | 24.11 | 3.692 | 12.5 |
| 1 1 0 | 32.52 | 2.754 | 43.4 |
| 1 0 3 | 32.63 | 2.744 | 100.0 |
| 1 1 2 | 36.11 | 2.488 | 10.3 |
| 1 1 3 | 40.20 | 2.243 | 16.7 |
| 2 0 0 | 46.65 | 1.947 | 34.0 |
| 2 1 3 | 58.09 | 1.588 | 36.8 |
| 1 1 6 | 58.31 | 1.582 | 21.3 |
| 2 0 6 | 68.37 | 1.372 | 12.4 |